1.
Structure and theoretical X-ray diffraction stick pattern of Sc4Nb (the GGA-PBE geometry in Alexandria; copper Kα).
Lines closer than 0.1° are merged.

Peak list (10 most intense, 2θ from 5° to 70°, in order of rising 2θ)
17.4 deg, intensity 73
24.7 deg, intensity 62
30.4 deg, intensity 19
35.2 deg, intensity 100
39.6 deg, intensity 35
43.5 deg, intensity 27
50.7 deg, intensity 66
54.0 deg, intensity 17
63.2 deg, intensity 21
69.0 deg, intensity 13

Structure:
a b c (Å): 5.0948 5.0948 5.0948
angles (deg): 90.00 90.00 90.00
Fractional coordinates of all 5 atoms:
Sc: 0.0000 0.0000 0.0000
Sc: 0.0000 0.5000 0.5000
Sc: 0.5000 0.0000 0.5000
Sc: 0.5000 0.5000 0.0000
Nb: 0.5000 0.5000 0.5000



2.
Structure and theoretical X-ray diffraction stick pattern of U2AgAu6 (the GGA-PBE geometry in Alexandria; copper Kα).
Lines closer than 0.1° are merged.

Peak list (10 most intense, 2θ from 5° to 70°, in order of rising 2θ)
12.1 deg, intensity 4
24.4 deg, intensity 2
30.3 deg, intensity 7
36.9 deg, intensity 100
37.2 deg, intensity 86
48.5 deg, intensity 12
53.4 deg, intensity 31
62.9 deg, intensity 7
66.5 deg, intensity 18
66.7 deg, intensity 32

Structure:
a b c (Å): 8.4313 8.4313 2.9532
angles (deg): 90.06 90.06 60.01
Fractional coordinates of all 9 atoms:
U: 0.1667 0.1667 0.0000
U: 0.8333 0.8333 0.0000
Ag: 0.5000 0.5000 0.0000
Au: 0.1703 0.5000 0.5013
Au: 0.1702 0.8298 0.5000
Au: 0.5000 0.1703 0.5013
Au: 0.5000 0.8297 0.4987
Au: 0.8298 0.1702 0.5000
Au: 0.8297 0.5000 0.4987